# 1
This entry pairs a crystal structure of Si5H8Cl4 with its computed powder XRD pattern. Radiation: Cu Ka. Structure: a PBE-relaxed structure.

Structure:
```
data_Si5H8Cl4
_symmetry_space_group_name_H-M 'I -4'
_symmetry_Int_Tables_number 82
_cell_length_a 9.334
_cell_length_b 9.334
_cell_length_c 7.189
_cell_angle_alpha 90.00
_cell_angle_beta 90.00
_cell_angle_gamma 90.00
loop_
_symmetry_equiv_pos_as_xyz
'x,y,z'
'y,-x,-z'
'-x,-y,z'
'-y,x,-z'
'x+1/2,y+1/2,z+1/2'
'y+1/2,-x+1/2,-z+1/2'
'-x+1/2,-y+1/2,z+1/2'
'-y+1/2,x+1/2,-z+1/2'
loop_
_atom_site_label
_atom_site_fract_x
_atom_site_fract_y
_atom_site_fract_z
Si1 0.000 0.000 0.000
Si2 0.069 0.191 0.199
H1 0.012 0.173 0.391
H2 0.030 0.335 0.124
Cl1 0.190 0.708 0.770
```

Main lines, in order of falling intensity (10 to 90 degrees two-theta):
d/Å, Position (°2θ), intensity, index
2.852, 31.36, 100.0, 3 0 1
3.610, 24.66, 36.2, 1 2 1
3.594, 24.77, 35.2, 0 0 2
1.806, 50.53, 29.7, 5 0 1
5.695, 15.56, 29.2, 1 0 1
4.667, 19.02, 27.2, 2 0 0

***

# 2
This entry pairs a crystal structure of NdFeRu with its computed powder XRD pattern. Radiation: Cu Ka. Structure: a PBE-relaxed structure.

Structure:
```
data_NdFeRu
_symmetry_space_group_name_H-M 'I m m a'
_symmetry_Int_Tables_number 74
_symmetry_space_group_name_Hall '-I 2b 2'
_cell_length_a 5.259
_cell_length_b 5.562
_cell_length_c 7.463
_cell_angle_alpha 90.00
_cell_angle_beta 90.00
_cell_angle_gamma 90.00
loop_
_atom_site_label
_atom_site_fract_x
_atom_site_fract_y
_atom_site_fract_z
Nd1 0.000 0.250 0.127
Fe1 0.250 0.250 0.750
Ru1 0.000 0.000 0.500
```

Main lines, in order of falling intensity (10 to 90 degrees two-theta):
d/Å, Position (°2θ), intensity, index
2.335, 38.56, 100.0, 1 2 1
2.670, 33.57, 73.2, 1 1 2
2.265, 39.80, 58.0, 2 1 1
2.249, 40.10, 47.2, 1 0 3
1.335, 70.55, 36.5, 2 2 4
2.629, 34.10, 29.9, 2 0 0

***

# 3
This entry pairs a crystal structure of KAsO4 with its computed powder XRD pattern. Radiation: Cu Ka. Structure: a PBE-relaxed structure.

Structure:
```
data_KAsO4
_symmetry_space_group_name_H-M 'I -4 2 d'
_symmetry_Int_Tables_number 122
_symmetry_space_group_name_Hall 'I -4 2bw'
_cell_length_a 7.420
_cell_length_b 7.420
_cell_length_c 7.365
_cell_angle_alpha 90.00
_cell_angle_beta 90.00
_cell_angle_gamma 90.00
loop_
_atom_site_label
_atom_site_fract_x
_atom_site_fract_y
_atom_site_fract_z
K1 0.000 0.000 0.000
As1 0.000 0.000 0.500
O1 0.102 0.655 0.894
```

Main lines, in order of falling intensity (10 to 90 degrees two-theta):
d/Å, Position (°2θ), intensity, index
3.014, 29.64, 100.0, 1 1 2
3.710, 23.99, 86.2, 2 0 0
1.979, 45.85, 74.5, 3 1 2
5.227, 16.96, 50.6, 1 0 1
2.623, 34.18, 31.2, 2 2 0
3.025, 29.53, 23.2, 2 1 1

***

# 4
This entry pairs a crystal structure of Y5Si10Ir4 with its computed powder XRD pattern. Radiation: Cu Ka. Structure: a PBE-relaxed structure.

Structure:
```
data_Y5Si10Ir4
_symmetry_space_group_name_H-M 'P 4/m b m'
_symmetry_Int_Tables_number 127
_symmetry_space_group_name_Hall '-P 4 2ab'
_cell_length_a 12.662
_cell_length_b 12.662
_cell_length_c 4.285
_cell_angle_alpha 90.00
_cell_angle_beta 90.00
_cell_angle_gamma 90.00
loop_
_atom_site_label
_atom_site_fract_x
_atom_site_fract_y
_atom_site_fract_z
Y1 0.000 0.000 0.000
Y2 0.116 0.384 0.500
Y3 0.176 0.676 0.500
Si1 0.003 0.843 0.500
Si2 0.066 0.566 0.000
Si3 0.164 0.200 0.000
Ir1 0.021 0.755 0.000
```

Main lines, in order of falling intensity (10 to 90 degrees two-theta):
d/Å, Position (°2θ), intensity, index
2.546, 35.25, 100.0, 4 0 1
4.477, 19.83, 62.8, 2 2 0
3.096, 28.84, 59.5, 2 2 1
2.143, 42.18, 34.6, 0 0 2
2.496, 35.98, 29.5, 4 1 1
3.165, 28.19, 28.8, 4 0 0